Record 1
Computed powder diffraction line list of ZnIn2F for copper Kα, from a crystal structure in Alexandria, relaxed with PBE.
No peak broadening, texture or thermal motion is included.

Atomic structure:
Cell lengths 8.166, 8.166, 8.166 Å; angles 142.47, 142.47, 54.12 degrees
Positions (direct):
Zn1 0.000 0.000 0.000
Zn2 0.750 0.250 0.500
In1 0.183 0.625 0.058
In2 0.375 0.433 0.558
In3 0.567 0.125 0.942
In4 0.875 0.817 0.442
F1 0.250 0.750 0.500
F2 0.500 0.500 0.000

The 6 most intense peaks (10 to 90 degrees two-theta), sorted by position:
2theta, d_spacing, intensity
24.99, 3.563, 13
26.95, 3.309, 100
38.82, 2.320, 17
42.45, 2.130, 45
44.63, 2.030, 25
56.84, 1.620, 14

Record 2
Computed powder diffraction line list of Zn2In2F5 for copper Kα, from a crystal structure in Alexandria, relaxed with PBE.
No peak broadening, texture or thermal motion is included.

Atomic structure:
Cell lengths 5.146, 5.207, 5.939 Å; angles 90.00, 90.26, 92.57 degrees
Positions (direct):
Zn1 0.000 0.000 0.000
Zn2 0.001 0.001 0.588
In1 0.237 0.472 0.796
In2 0.567 0.449 0.293
F1 0.153 0.099 0.294
F2 0.654 0.132 0.055
F3 0.655 0.134 0.533
F4 0.925 0.623 0.051
F5 0.925 0.624 0.537

The 6 most intense peaks (10 to 90 degrees two-theta), sorted by position:
2theta, d_spacing, intensity
22.83, 3.896, 44
22.93, 3.878, 43
24.89, 3.577, 47
28.19, 3.166, 53
34.48, 2.601, 43
34.79, 2.578, 100

Record 3
Computed powder diffraction line list of Zn3In2F8 for copper Kα, from a crystal structure in Alexandria, relaxed with PBE.
No peak broadening, texture or thermal motion is included.

Atomic structure:
Cell lengths 7.778, 7.778, 5.436 Å; angles 107.34, 107.34, 47.83 degrees
Positions (direct):
Zn1 0.000 0.000 0.000
Zn2 0.255 0.745 0.500
Zn3 0.745 0.255 0.500
In1 0.308 0.308 0.840
In2 0.692 0.692 0.160
F1 0.078 0.078 0.399
F2 0.154 0.686 0.110
F3 0.314 0.846 0.890
F4 0.412 0.412 0.555
F5 0.588 0.588 0.445
F6 0.686 0.154 0.110
F7 0.846 0.314 0.890
F8 0.922 0.922 0.601

The 6 most intense peaks (10 to 90 degrees two-theta), sorted by position:
2theta, d_spacing, intensity
24.37, 3.653, 100
24.86, 3.581, 60
25.01, 3.561, 48
25.90, 3.440, 83
46.75, 1.943, 54
48.25, 1.886, 63

Record 4
Computed powder diffraction line list of Zr3InF15 for copper Kα, from a crystal structure in Alexandria, relaxed with PBE.
No peak broadening, texture or thermal motion is included.

Atomic structure:
Cell lengths 8.044, 8.044, 8.044 Å; angles 99.84, 99.84, 99.84 degrees
Positions (direct):
Zr1 0.180 0.750 0.320
Zr2 0.250 0.680 0.820
Zr3 0.320 0.180 0.750
Zr4 0.680 0.820 0.250
Zr5 0.750 0.320 0.180
Zr6 0.820 0.250 0.680
In1 0.250 0.250 0.250
In2 0.750 0.750 0.750
F1 0.020 0.784 0.779
F2 0.038 0.462 0.750
F3 0.048 0.151 0.676
F4 0.151 0.676 0.048
F5 0.176 0.651 0.548
F6 0.216 0.221 0.980
F7 0.221 0.980 0.216
F8 0.250 0.962 0.538
F9 0.279 0.284 0.520
F10 0.284 0.520 0.279
F11 0.324 0.952 0.849
F12 0.349 0.452 0.824
F13 0.452 0.824 0.349
F14 0.462 0.750 0.038
F15 0.480 0.721 0.716
F16 0.520 0.279 0.284
F17 0.538 0.250 0.962
F18 0.548 0.176 0.651
F19 0.651 0.548 0.176
F20 0.676 0.048 0.151
F21 0.716 0.480 0.721
F22 0.721 0.716 0.480
F23 0.750 0.038 0.462
F24 0.779 0.020 0.784
F25 0.784 0.779 0.020
F26 0.824 0.349 0.452
F27 0.849 0.324 0.952
F28 0.952 0.849 0.324
F29 0.962 0.538 0.250
F30 0.980 0.216 0.221

The 6 most intense peaks (10 to 90 degrees two-theta), sorted by position:
2theta, d_spacing, intensity
22.94, 3.877, 100
23.44, 3.795, 28
29.02, 3.077, 18
31.27, 2.860, 21
45.47, 1.995, 21
45.82, 1.980, 25

Record 5
Computed powder diffraction line list of ZrIn3F7 for copper Kα, from a crystal structure in Alexandria, relaxed with PBE.
No peak broadening, texture or thermal motion is included.

Atomic structure:
Cell lengths 5.795, 6.340, 6.819 Å; angles 105.71, 109.77, 91.78 degrees
Positions (direct):
Zr1 0.000 0.000 0.000
In1 0.264 0.720 0.536
In2 0.510 0.514 0.077
In3 0.733 0.276 0.533
F1 0.099 0.698 0.877
F2 0.208 0.118 0.851
F3 0.298 0.066 0.283
F4 0.502 0.484 0.730
F5 0.698 0.946 0.710
F6 0.786 0.871 0.134
F7 0.908 0.309 0.092

The 6 most intense peaks (10 to 90 degrees two-theta), sorted by position:
2theta, d_spacing, intensity
23.52, 3.783, 100
24.27, 3.667, 91
26.07, 3.418, 72
28.32, 3.151, 61
28.75, 3.105, 46
29.17, 3.062, 44

Record 6
Computed powder diffraction line list of IrF for copper Kα, from a crystal structure in Alexandria, relaxed with PBE.
No peak broadening, texture or thermal motion is included.

Atomic structure:
Cell lengths 2.705, 9.158, 6.395 Å; angles 90.00, 90.00, 90.00 degrees
Positions (direct):
Ir1 0.250 0.072 0.154
Ir2 0.250 0.428 0.154
Ir3 0.250 0.750 0.607
Ir4 0.750 0.250 0.393
Ir5 0.750 0.572 0.846
Ir6 0.750 0.928 0.846
F1 0.250 0.250 0.964
F2 0.250 0.603 0.343
F3 0.250 0.897 0.343
F4 0.750 0.103 0.657
F5 0.750 0.397 0.657
F6 0.750 0.750 0.036

The 6 most intense peaks (10 to 90 degrees two-theta), sorted by position:
2theta, d_spacing, intensity
16.91, 5.243, 100
23.90, 3.723, 56
40.87, 2.208, 70
41.26, 2.188, 44
43.84, 2.065, 43
44.77, 2.024, 43

Record 7
Computed powder diffraction line list of Ir2F13 for copper Kα, from a crystal structure in Alexandria, relaxed with PBE.
No peak broadening, texture or thermal motion is included.

Atomic structure:
Cell lengths 5.102, 6.659, 7.664 Å; angles 65.13, 81.10, 78.97 degrees
Positions (direct):
Ir1 0.176 0.123 0.229
Ir2 0.824 0.877 0.771
F1 0.000 0.000 0.500
F2 0.100 0.874 0.199
F3 0.157 0.715 0.862
F4 0.239 0.366 0.272
F5 0.341 0.233 0.980
F6 0.378 0.505 0.558
F7 0.497 0.040 0.673
F8 0.503 0.960 0.327
F9 0.622 0.495 0.442
F10 0.659 0.767 0.020
F11 0.761 0.634 0.728
F12 0.843 0.285 0.138
F13 0.900 0.126 0.801

The 6 most intense peaks (10 to 90 degrees two-theta), sorted by position:
2theta, d_spacing, intensity
14.81, 5.981, 100
15.17, 5.840, 63
20.87, 4.256, 96
22.81, 3.898, 75
24.80, 3.591, 58
25.72, 3.463, 54

Record 8
Computed powder diffraction line list of K3IrF7 for copper Kα, from a crystal structure in Alexandria, relaxed with PBE.
No peak broadening, texture or thermal motion is included.

Atomic structure:
Cell lengths 5.949, 5.949, 6.731 Å; angles 109.95, 109.95, 88.36 degrees
Positions (direct):
K1 0.000 0.000 0.000
K2 0.282 0.744 0.528
K3 0.744 0.282 0.528
Ir1 0.501 0.501 0.022
F1 0.187 0.529 0.811
F2 0.357 0.357 0.185
F3 0.463 0.818 0.223
F4 0.529 0.187 0.811
F5 0.648 0.648 0.863
F6 0.818 0.463 0.223
F7 0.957 0.957 0.617

The 6 most intense peaks (10 to 90 degrees two-theta), sorted by position:
2theta, d_spacing, intensity
14.96, 5.921, 50
15.93, 5.564, 100
17.61, 5.037, 68
23.71, 3.752, 54
26.24, 3.396, 83
28.14, 3.171, 42